Record 1
Structure and theoretical PXRD pattern of Li2Fe2P4H3O16 (a DFT-relaxed cell (GGA+U, the Materials Project); Cu Kα X-rays).

Atomic structure:
a b c (Å): 4.9443 7.5673 8.1576
angles (deg): 90.45 91.14 103.69
Space group P1 (No. 1)
Symmetry-distinct sites (fractional):
Li 0.0000 0.0000 0.0000
Li 0.2100 0.3064 0.7450
Fe 0.1093 0.1522 0.3729
Fe 0.6136 0.6536 0.8713
P 0.2362 0.9104 0.7126
P 0.4961 0.9037 0.2078
P 0.7218 0.4049 0.5350
P 0.9840 0.3893 0.0270
H 0.0638 0.6329 0.4761
H 0.1613 0.6679 0.2525
H 0.5680 0.1320 0.8570
O 0.0609 0.3401 0.2021
O 0.1582 0.9690 0.5434
O 0.2453 0.4885 0.9313
O 0.2745 0.0164 0.1873
O 0.3515 0.7182 0.2947
O 0.3645 0.0942 0.8147
O 0.4367 0.7854 0.7029
O 0.4762 0.3116 0.4267
O 0.6003 0.8536 0.0397
O 0.6157 0.4534 0.7030
O 0.7412 0.9965 0.3164
O 0.7904 0.5213 0.0386
O 0.8633 0.2121 0.9274
O 0.8646 0.5905 0.4489
O 0.9437 0.2921 0.5551
O 0.9802 0.8221 0.8148

Peak list (12 most intense, 2θ = 5–70°, by intensity)
2theta, I/Imax, h k l
29.02, 100, 1 -2 1
24.42, 92, 1 1 0
16.13, 58, 0 1 -1
16.34, 37, 0 1 1
22.53, 33, 1 -1 1
33.02, 32, 0 2 2
24.83, 30, 0 1 -2
25.11, 27, 0 1 2
22.27, 25, -1 1 1
32.59, 24, 0 2 -2
29.23, 23, -1 1 2
38.39, 19, 2 -1 1

=====

Record 2
Structure and theoretical PXRD pattern of Li2Fe2P4H3O16 (a DFT-relaxed cell (GGA+U, the Materials Project); Cu Kα X-rays).

Atomic structure:
a b c (Å): 7.9075 8.2460 9.9085
angles (deg): 91.32 113.00 90.90
Space group P1 (No. 1)
Symmetry-distinct sites (fractional):
Li 0.0000 0.0000 0.0000
Li 0.1848 0.3089 0.5239
Li 0.4901 0.0115 0.4939
Li 0.6821 0.3137 0.0201
Fe 0.3403 0.6577 0.5120
Fe 0.3451 0.1587 0.0177
Fe 0.8403 0.1570 0.5120
Fe 0.8402 0.6595 0.0113
P 0.2714 0.0003 0.6886
P 0.2837 0.8168 0.1951
P 0.3978 0.4976 0.8292
P 0.4055 0.3133 0.3418
P 0.7741 0.0037 0.1847
P 0.7803 0.8150 0.6915
P 0.8992 0.5000 0.3289
P 0.9047 0.3103 0.8429
H 0.0318 0.7531 0.6497
H 0.0579 0.1451 0.2516
H 0.1482 0.5562 0.8751
H 0.5524 0.7223 0.2091
H 0.5563 0.1390 0.7523
H 0.6601 0.5538 0.3900
O 0.0720 0.2037 0.9319
O 0.0839 0.5914 0.3975
O 0.0947 0.7345 0.1211
O 0.1124 0.1087 0.5955
O 0.2369 0.2374 0.3577
O 0.2417 0.8274 0.6212
O 0.2533 0.6069 0.8583
O 0.2787 0.9864 0.1308
O 0.2879 0.0000 0.8474
O 0.3402 0.4815 0.6601
O 0.3441 0.8322 0.3642
O 0.3925 0.3184 0.1822
O 0.4038 0.3300 0.8964
O 0.4187 0.7061 0.1558
O 0.4457 0.4908 0.4064
O 0.4485 0.0755 0.6725
O 0.5745 0.2103 0.4321
O 0.5857 0.5837 0.8991
O 0.5953 0.7241 0.6280
O 0.6144 0.1119 0.0927
O 0.7328 0.2363 0.8538
O 0.7488 0.6075 0.3551
O 0.7517 0.8323 0.1168
O 0.7686 0.9809 0.6206
O 0.7918 0.0011 0.3440
O 0.8424 0.4816 0.1608
O 0.8430 0.8339 0.8604
O 0.9009 0.3117 0.6853
O 0.9088 0.3358 0.4021
O 0.9197 0.7045 0.6561
O 0.9456 0.4872 0.9063
O 0.9506 0.0835 0.1704

Peak list (12 most intense, 2θ = 5–70°, by intensity)
2theta, I/Imax, h k l
16.31, 100, -1 1 1
24.47, 93, 2 0 0
24.87, 67, 1 2 -1
28.92, 62, 1 1 -3
32.96, 59, -2 2 2
22.59, 41, 0 1 2
29.37, 39, -1 1 3
21.98, 32, 0 1 -2
27.95, 26, 1 -2 1
21.58, 25, 0 2 0
28.74, 22, 0 2 -2
29.68, 19, 0 2 2

=====

Record 3
Structure and theoretical PXRD pattern of LiFe2P2HO8 (a DFT-relaxed cell (GGA+U, the Materials Project); Cu Kα X-rays).

Atomic structure:
a b c (Å): 8.4892 5.0131 15.0917
angles (deg): 90.00 94.25 90.00
Space group P2/c (No. 13)
Symmetry-distinct sites (fractional):
Li 0.0000 0.0167 0.2500
Li 0.5000 0.1500 0.7500
Fe 0.0841 0.2376 0.0000
Fe 0.4214 0.2437 0.0018
P 0.2314 0.2619 0.3892
P 0.2640 0.2680 0.6198
H 0.2376 0.4411 0.2544
O 0.0868 0.4073 0.4217
O 0.1095 0.1087 0.5927
O 0.2068 0.2559 0.2841
O 0.2377 0.0334 0.9203
O 0.2589 0.4490 0.0778
O 0.2852 0.3017 0.7220
O 0.3874 0.4112 0.4166
O 0.4122 0.1064 0.5906

Peak list (12 most intense, 2θ = 5–70°, by intensity)
2theta, I/Imax, h k l
11.76, 100, 0 0 2
26.74, 21, 1 1 -3
27.78, 16, 1 1 3
36.65, 15, 3 1 -1
35.82, 8, 0 2 0
24.89, 7, 2 0 2
65.44, 7, 3 1 -9
61.64, 7, 0 0 10
64.92, 7, 3 3 -1
35.73, 6, 1 1 -5
37.06, 6, 1 1 5
37.43, 6, 3 1 1

=====

Record 4
Structure and theoretical PXRD pattern of Li2FePHO5 (a DFT-relaxed cell (GGA+U, the Materials Project); Cu Kα X-rays).

Atomic structure:
a b c (Å): 5.3888 5.5264 7.6570
angles (deg): 107.54 109.22 93.11
Space group P-1 (No. 2)
Symmetry-distinct sites (fractional):
Li 0.0367 0.3743 0.1692
Li 0.2927 0.9283 0.8054
Fe 0.5000 0.5000 0.0000
Fe 0.5000 0.5000 0.5000
P 0.1739 0.8768 0.2305
H 0.1674 0.4242 0.6448
O 0.1123 0.2457 0.9271
O 0.1659 0.1626 0.3340
O 0.2362 0.7172 0.3713
O 0.3205 0.5613 0.7313
O 0.3735 0.8556 0.1209

Peak list (12 most intense, 2θ = 5–70°, by intensity)
2theta, I/Imax, h k l
26.00, 100, 0 1 -2
26.74, 96, 1 1 0
25.77, 76, 1 0 -2
36.15, 49, 1 -2 0
17.76, 44, 1 0 -1
17.68, 43, 1 0 0
17.08, 40, 0 1 0
25.67, 34, -1 1 1
41.82, 31, 1 -2 2
52.87, 30, -2 2 2
34.26, 29, -1 1 2
42.64, 27, 2 1 0